Diffraction record for Ba2LaNb5O15. The powder diffraction line list is theoretical, not measured: it uses DFT lattice parameters and positions (GGA-PBE) and Cu Kα.

Cell and atoms:
```
data_Ba2LaNb5O15
_space_group_name_H-M_alt 'P 4/m b m'
_space_group_IT_number 127
_space_group_name_Hall '-P 4 2ab'
_cell_length_a 12.7511
_cell_length_b 12.7511
_cell_length_c 4.0453
_cell_angle_alpha 90.00
_cell_angle_beta 90.00
_cell_angle_gamma 90.00
loop_
_atom_site_label
_atom_site_type_symbol
_atom_site_fract_x
_atom_site_fract_y
_atom_site_fract_z
Ba1 Ba 0.1658 0.3342 0.0000
La1 La 0.0000 0.0000 0.0000
Nb1 Nb 0.0000 0.5000 0.5000
Nb2 Nb 0.0787 0.7887 0.5000
O1 O 0.0000 0.5000 0.0000
O2 O 0.0069 0.3410 0.5000
O3 O 0.0621 0.1320 0.5000
O4 O 0.0782 0.8015 0.0000
O5 O 0.2236 0.7236 0.5000
```

The 10 most intense peaks (10 to 90 degrees two-theta), most intense first:
two_theta  intensity  h k l
31.3  100.0  3 1 1
27.0  50.5  2 1 1
28.9  45.8  4 1 0
55.8  26.8  5 5 1
29.7  23.6  2 2 1
44.8  22.1  0 0 2
25.2  21.5  3 2 0
54.2  15.3  4 1 2
50.6  13.9  5 5 0
48.4  13.4  6 0 1